1.
Starting from DFT lattice parameters and positions (GGA-PBE), the XRD peak list of Gd2AlIn5 was calculated for Cu Kα (weighted mean of Kα1 and Kα2).
Lines closer than 0.1° are merged.

```
8
Lattice="5.062 0.000 0.000 0.000 3.321 5.784 0.000 -3.321 5.784" Properties=species:S:1:pos:R:3 pbc="T T T"
Gd 0.000 0.000 0.000
Gd 2.531 0.000 3.905
Al 2.531 0.000 9.523
In 0.000 0.000 5.912
In 0.000 -1.557 8.707
In 0.000 1.557 8.707
In 2.531 -1.589 6.852
In 2.531 1.589 6.852
```

Principal peaks in the range 10 to 90 degrees two-theta, by intensity:
2theta  d_spacing  I/Imax
35.87  2.503  100
35.76  2.511  53
35.47  2.531  35
63.92  1.456  27
31.05  2.880  27
47.82  1.902  23
67.24  1.392  20
55.07  1.667  19

---

2.
Starting from DFT lattice parameters and positions (GGA-PBE), the XRD peak list of Gd3Mg3Al2In was calculated for Cu Kα (weighted mean of Kα1 and Kα2).
Lines closer than 0.1° are merged.

```
9
Lattice="7.456 0.000 0.000 -3.728 6.457 0.000 0.000 0.000 4.620" Properties=species:S:1:pos:R:3 pbc="T T T"
Gd -2.101 3.639 0.000
Gd 1.627 2.818 0.000
Gd 4.202 0.000 0.000
Mg -0.919 1.592 2.310
Mg 1.838 0.000 2.310
Mg 2.809 4.865 2.310
Al 0.000 4.305 2.310
Al 3.728 2.152 2.310
In 0.000 0.000 0.000
```

Principal peaks in the range 10 to 90 degrees two-theta, by intensity:
2theta  d_spacing  I/Imax
33.87  2.647  100
27.63  3.229  55
19.21  4.620  46
30.82  2.901  38
54.99  1.670  24
48.45  1.879  24
38.99  2.310  20
36.83  2.441  17

---

3.
Starting from DFT lattice parameters and positions (GGA-PBE), the XRD peak list of GdAlInNi was calculated for Cu Kα (weighted mean of Kα1 and Kα2).
Lines closer than 0.1° are merged.

```
8
Lattice="2.116 -5.197 0.000 2.116 5.197 0.000 0.000 0.000 7.143" Properties=species:S:1:pos:R:3 pbc="T T T"
Gd 2.116 4.503 3.572
Gd 2.116 -4.503 0.000
Al 2.116 1.649 2.092
Al 2.116 -1.649 5.664
In 2.116 1.434 4.914
In 2.116 -1.434 1.343
Ni 2.116 2.962 7.039
Ni 2.116 -2.962 3.467
```

Principal peaks in the range 10 to 90 degrees two-theta, by intensity:
2theta  d_spacing  I/Imax
33.96  2.640  100
35.77  2.510  87
36.80  2.442  39
42.73  2.116  34
41.73  2.165  25
21.14  4.203  24
25.93  3.436  23
57.64  1.599  21